Starting from DFT lattice parameters and positions (PBE), the powder XRD pattern of RbAg2BO3 was computed for Cu Kα (weighted mean of Kα1 and Kα2).
Neutral-atom scattering factors, no anomalous dispersion.

```
RbAg2BO3
1.0
5.663 0.000 0.000
0.000 6.362 0.000
0.000 0.000 5.723
Rb Ag B O
2 4 2 6
direct
0.250 0.250 0.128
0.750 0.750 0.872
0.250 0.521 0.647
0.250 0.979 0.647
0.750 0.021 0.353
0.750 0.479 0.353
0.250 0.750 0.213
0.750 0.250 0.787
0.039 0.750 0.342
0.250 0.750 0.974
0.461 0.750 0.342
0.539 0.250 0.658
0.750 0.250 0.026
0.961 0.250 0.658
```

The 10 most intense peaks (2θ from 10° to 90°), in order of falling intensity:
- (1 2 1), 35.99°, rel. 1000
- (1 0 2), 35.14°, rel. 755
- (2 0 0), 31.60°, rel. 550
- (2 2 1), 45.73°, rel. 485
- (0 2 1), 32.20°, rel. 406
- (1 0 1), 22.08°, rel. 307
- (2 2 3), 65.94°, rel. 209
- (3 0 2), 58.59°, rel. 190
- (0 0 1), 15.48°, rel. 186
- (3 2 1), 59.16°, rel. 184